Computed PXRD pattern
Compound: Sr2CrSbO6
Radiation: Cu Ka
Structure: a structure optimized by DFT (PBE+U)
No peak broadening, texture or thermal motion is included.

Structural model:
```
data_Sr2CrSbO6
_cell_length_a 5.6148
_cell_length_b 5.6148
_cell_length_c 8.0904
_cell_angle_alpha 90.00
_cell_angle_beta 90.00
_cell_angle_gamma 90.00
_symmetry_space_group_name_H-M 'I 4/m'
_symmetry_Int_Tables_number 87
_symmetry_space_group_name_Hall '-I 4'
loop_
_atom_site_label
_atom_site_type_symbol
_atom_site_fract_x
_atom_site_fract_y
_atom_site_fract_z
_atom_site_occupancy
Sr1 Sr 0.0000 0.5000 0.2500 1
Cr1 Cr 0.0000 0.0000 0.0000 1
Sb1 Sb 0.0000 0.0000 0.5000 1
O1 O 0.0000 0.0000 0.2517 1
O2 O 0.2044 0.7084 0.5000 1
```

Peak list (10 most intense, 10 to 90 degrees two-theta, in order of rising 2θ)
Position (°2θ)	intensity	h k l
19.24	16	1 0 1
31.58	100	1 1 2
31.88	54	2 0 0
44.81	19	0 0 4
45.70	33	2 2 0
56.04	21	2 0 4
56.61	42	3 1 2
65.93	20	2 2 4
75.76	10	2 4 0
83.90	9	4 0 4